(1)
Calculated X-ray diffraction stick pattern
Compound: AcGdPd2
Radiation: Cu Kα (weighted mean of Kα1 and Kα2)
Structure: a structure optimized by DFT (GGA-PBE)

Peak list (10 most intense, 10° ≤ 2θ ≤ 90°, in order of rising 2θ)
hkl	2θ (°)	I_rel
0 1 2	25.44	10
1 0 4	29.61	100
1 1 0	42.02	39
0 1 8	42.72	36
0 2 4	52.25	21
2 0 8	61.48	12
2 1 4	69.20	18
1 1 12	70.21	16
3 0 0	76.78	7
1 2 8	77.27	13

Structural model:
```
data_AcGdPd2
_space_group_name_H-M_alt 'R -3 m'
_space_group_IT_number 166
_space_group_name_Hall '-R 3 2"'
_cell_length_a 4.3003
_cell_length_b 4.3003
_cell_length_c 20.5765
_cell_angle_alpha 90.00
_cell_angle_beta 90.00
_cell_angle_gamma 120.00
loop_
_atom_site_label
_atom_site_type_symbol
_atom_site_fract_x
_atom_site_fract_y
_atom_site_fract_z
Ac1 Ac 0.0000 0.0000 0.0000
Gd1 Gd 0.0000 0.0000 0.5000
Pd1 Pd 0.0000 0.0000 0.2429
```

=====

(2)
Calculated X-ray diffraction stick pattern
Compound: Ac2PrGd
Radiation: Cu Kα (weighted mean of Kα1 and Kα2)
Structure: a structure optimized by DFT (GGA-PBE)

Peak list (10 most intense, 10° ≤ 2θ ≤ 90°, in order of rising 2θ)
hkl	2θ (°)	I_rel
1 0 2	28.64	100
1 1 0	32.82	35
0 0 4	33.92	16
2 0 0	47.10	13
1 1 4	47.92	25
2 1 2	56.06	31
1 0 6	57.50	14
2 0 4	59.30	13
2 1 6	77.41	12
3 1 4	88.20	9

Structural model:
```
data_Ac2PrGd
_space_group_name_H-M_alt 'P 4/m m m'
_space_group_IT_number 123
_space_group_name_Hall '-P 4 2'
_cell_length_a 3.859
_cell_length_b 3.859
_cell_length_c 10.571
_cell_angle_alpha 90.00
_cell_angle_beta 90.00
_cell_angle_gamma 90.00
loop_
_atom_site_label
_atom_site_type_symbol
_atom_site_fract_x
_atom_site_fract_y
_atom_site_fract_z
Ac1 Ac 0.000 0.000 0.247
Pr1 Pr 0.500 0.500 0.500
Gd1 Gd 0.500 0.500 0.000
```

=====

(3)
Calculated X-ray diffraction stick pattern
Compound: AcGdTm2
Radiation: Cu Kα (weighted mean of Kα1 and Kα2)
Structure: a structure optimized by DFT (GGA-PBE)

Peak list (10 most intense, 10° ≤ 2θ ≤ 90°, in order of rising 2θ)
hkl	2θ (°)	I_rel
1 1 1	18.76	2
2 2 0	30.87	100
3 1 1	36.37	1
4 0 0	44.22	19
3 3 1	48.43	1
4 2 2	54.91	40
4 4 0	64.33	13
6 2 0	73.05	17
4 4 4	81.38	4
6 4 2	89.53	22

Structural model:
```
data_AcGdTm2
_space_group_name_H-M_alt 'F m -3 m'
_space_group_IT_number 225
_space_group_name_Hall '-F 4 2 3'
_cell_length_a 8.192
_cell_length_b 8.192
_cell_length_c 8.192
_cell_angle_alpha 90.00
_cell_angle_beta 90.00
_cell_angle_gamma 90.00
loop_
_atom_site_label
_atom_site_type_symbol
_atom_site_fract_x
_atom_site_fract_y
_atom_site_fract_z
Ac1 Ac 0.000 0.000 0.000
Gd1 Gd 0.000 0.000 0.500
Tm1 Tm 0.250 0.250 0.250
```

=====

(4)
Calculated X-ray diffraction stick pattern
Compound: Ac4Ge
Radiation: Cu Kα (weighted mean of Kα1 and Kα2)
Structure: a structure optimized by DFT (GGA-PBE)

Peak list (10 most intense, 10° ≤ 2θ ≤ 90°, in order of rising 2θ)
hkl	2θ (°)	I_rel
1 2 -1	24.79	100
1 0 -2	26.41	17
2 0 0	27.30	46
0 0 2	27.78	42
1 2 1	29.65	98
2 0 -2	31.70	34
0 4 0	38.70	20
3 2 -1	43.63	30
1 2 -3	44.28	21
2 0 2	45.91	15

Structural model:
```
data_Ac4Ge
_space_group_name_H-M_alt 'P 1 2/c 1'
_space_group_IT_number 13
_space_group_name_Hall '-P 2yc'
_cell_length_a 6.954
_cell_length_b 9.307
_cell_length_c 6.833
_cell_angle_alpha 90.00
_cell_angle_beta 110.00
_cell_angle_gamma 90.00
loop_
_atom_site_label
_atom_site_type_symbol
_atom_site_fract_x
_atom_site_fract_y
_atom_site_fract_z
Ac1 Ac 0.230 0.144 0.041
Ac2 Ac 0.257 0.401 0.526
Ge1 Ge 0.500 0.124 0.750
```